[1]
For LaTh2Mg6, DFT lattice parameters and positions (GGA-PBE) gives the computed PXRD pattern in this record (λ = 1.5418 Å (Cu Kα)).
Intensities are scaled so that the largest is 100.

Cell: 9.1941 9.1941 10.0504 Å, 90.00 90.00 120.00°
Space group R-3m (No. 166, hexagonal axes)
Inequivalent atoms, fractional coordinates:
La (0.0000, 0.0000, 0.0000) x3
Th (0.0000, 0.0000, 0.3386) x6
Mg (0.0000, 0.3330, 0.5000) x18

Largest 12 diffraction maxima, most intense first, 2θ from 10° to 90°:
| h k l | d/Å | intensity |
| --- | --- | --- |
| 1 1 0 | 4.597 | 100 |
| 1 1 3 | 2.707 | 92 |
| 3 0 0 | 2.654 | 55 |
| 4 1 3 | 1.542 | 34 |
| 2 2 3 | 1.895 | 33 |
| 3 0 3 | 2.080 | 19 |
| 2 2 0 | 2.299 | 17 |
| 3 0 6 | 1.417 | 16 |
| 4 1 0 | 1.738 | 15 |
| 5 2 3 | 1.192 | 15 |
| 0 0 3 | 3.350 | 11 |
| 1 1 6 | 1.574 | 11 |

[2]
For LaMg6Tl2, DFT lattice parameters and positions (GGA-PBE) gives the computed PXRD pattern in this record (λ = 1.5418 Å (Cu Kα)).
Intensities are scaled so that the largest is 100.

Cell: 4.655 4.655 10.581 Å, 90.00 90.00 90.00°
Space group P4/mmm (No. 123)
Inequivalent atoms, fractional coordinates:
La (0.000, 0.000, 0.000) x1
Mg (0.000, 0.000, 0.500) x1
Mg (0.000, 0.500, 0.299) x4
Mg (0.500, 0.500, 0.500) x1
Tl (0.500, 0.500, 0.136) x2

Largest 12 diffraction maxima, most intense first, 2θ from 10° to 90°:
| h k l | d/Å | intensity |
| --- | --- | --- |
| 1 0 3 | 2.811 | 100 |
| 1 1 1 | 3.143 | 86 |
| 1 1 0 | 3.292 | 79 |
| 1 0 4 | 2.300 | 69 |
| 2 0 0 | 2.327 | 63 |
| 2 1 3 | 1.793 | 54 |
| 1 0 0 | 4.655 | 53 |
| 2 1 4 | 1.636 | 49 |
| 1 1 3 | 2.406 | 32 |
| 1 0 2 | 3.495 | 30 |
| 2 0 1 | 2.273 | 25 |
| 2 2 0 | 1.646 | 22 |

[3]
For LaMg15Tl4, DFT lattice parameters and positions (GGA-PBE) gives the computed PXRD pattern in this record (λ = 1.5418 Å (Cu Kα)).
Intensities are scaled so that the largest is 100.

Cell: 4.879 4.879 20.331 Å, 90.00 90.00 90.00°
Space group P4/mmm (No. 123)
Inequivalent atoms, fractional coordinates:
La (0.000, 0.000, 0.000) x1
Mg (0.000, 0.500, 0.112) x4
Mg (0.000, 0.500, 0.307) x4
Mg (0.000, 0.500, 0.500) x2
Mg (0.500, 0.500, 0.000) x1
Mg (0.500, 0.500, 0.213) x2
Mg (0.500, 0.500, 0.401) x2
Tl (0.000, 0.000, 0.207) x2
Tl (0.000, 0.000, 0.405) x2

Largest 12 diffraction maxima, most intense first, 2θ from 10° to 90°:
| h k l | d/Å | intensity |
| --- | --- | --- |
| 1 1 5 | 2.631 | 100 |
| 1 0 0 | 4.879 | 89 |
| 1 0 5 | 3.124 | 59 |
| 2 0 0 | 2.440 | 42 |
| 1 1 0 | 3.450 | 39 |
| 3 1 5 | 1.443 | 31 |
| 2 1 5 | 1.923 | 31 |
| 0 0 5 | 4.066 | 28 |
| 2 1 0 | 2.182 | 23 |
| 2 0 5 | 2.092 | 20 |
| 2 0 10 | 1.562 | 18 |
| 2 2 0 | 1.725 | 15 |

[4]
For La6MgTl5, DFT lattice parameters and positions (GGA-PBE) gives the computed PXRD pattern in this record (λ = 1.5418 Å (Cu Kα)).
Intensities are scaled so that the largest is 100.

Cell: 5.630 7.938 16.964 Å, 90.00 90.00 90.00°
Space group Immm (No. 71)
Inequivalent atoms, fractional coordinates:
La (0.000, 0.245, 0.000) x4
La (0.000, 0.252, 0.331) x8
Mg (0.000, 0.000, 0.500) x2
Tl (0.000, 0.000, 0.167) x4
Tl (0.000, 0.500, 0.158) x4
Tl (0.000, 0.500, 0.500) x2

Largest 12 diffraction maxima, most intense first, 2θ from 10° to 90°:
| h k l | d/Å | intensity |
| --- | --- | --- |
| 2 0 0 | 2.814 | 100 |
| 3 2 3 | 1.625 | 23 |
| 0 0 6 | 2.827 | 20 |
| 1 2 9 | 1.630 | 15 |
| 2 0 6 | 1.995 | 15 |
| 4 0 0 | 1.407 | 12 |
| 4 0 6 | 1.261 | 10 |
| 2 4 0 | 1.622 | 8 |
| 0 4 0 | 1.985 | 7 |
| 1 6 3 | 1.256 | 7 |
| 2 0 12 | 1.263 | 3 |
| 0 1 1 | 7.190 | 3 |